No. 1
For Ba3YRu2O9, a crystal structure in the Materials Project, relaxed with GGA-PBE gives the theoretical X-ray diffraction stick pattern in this record (a wavelength of 1.5418 Å).
Intensities are scaled so that the largest is 100.

Top 10 peaks for 2θ = 5–70°, in order of rising 2θ:
25.13 deg, rel. 16.1
29.97 deg, rel. 100.0
35.28 deg, rel. 6.6
39.50 deg, rel. 12.6
42.89 deg, rel. 22.6
46.94 deg, rel. 13.2
53.21 deg, rel. 29.9
56.70 deg, rel. 11.3
62.28 deg, rel. 15.3
65.46 deg, rel. 7.2

Structure:
abc: 5.9621 5.9621 14.6174
angles: 90.00 90.00 120.00
Fractional coordinates of all 30 atoms:
Ba (0.0000, 0.0000, 0.2500)
Ba (0.0000, 0.0000, 0.7500)
Ba (0.3333, 0.6667, 0.0946)
Ba (0.3333, 0.6667, 0.4054)
Ba (0.6667, 0.3333, 0.5946)
Ba (0.6667, 0.3333, 0.9054)
Y (0.0000, 0.0000, 0.0000)
Y (0.0000, 0.0000, 0.5000)
Ru (0.3333, 0.6667, 0.6644)
Ru (0.3333, 0.6667, 0.8356)
Ru (0.6667, 0.3333, 0.1644)
Ru (0.6667, 0.3333, 0.3356)
O (0.0198, 0.5099, 0.7500)
O (0.1762, 0.3525, 0.5883)
O (0.1762, 0.3525, 0.9117)
O (0.1762, 0.8238, 0.5883)
O (0.1762, 0.8238, 0.9117)
O (0.3525, 0.1762, 0.0883)
O (0.3525, 0.1762, 0.4117)
O (0.4901, 0.5099, 0.7500)
O (0.4901, 0.9802, 0.7500)
O (0.5099, 0.0198, 0.2500)
O (0.5099, 0.4901, 0.2500)
O (0.6475, 0.8238, 0.5883)
O (0.6475, 0.8238, 0.9117)
O (0.8238, 0.1762, 0.0883)
O (0.8238, 0.1762, 0.4117)
O (0.8238, 0.6475, 0.0883)
O (0.8238, 0.6475, 0.4117)
O (0.9802, 0.4901, 0.2500)

No. 2
For Ba2YRuO6, a crystal structure in the Materials Project, relaxed with GGA-PBE gives the theoretical X-ray diffraction stick pattern in this record (a wavelength of 1.5418 Å).
Intensities are scaled so that the largest is 100.

Top 8 peaks for 2θ = 5–70°, in order of rising 2θ:
18.18 deg, rel. 0.7
21.02 deg, rel. 0.6
29.89 deg, rel. 100.0
36.83 deg, rel. 5.8
42.79 deg, rel. 31.0
48.14 deg, rel. 0.5
53.07 deg, rel. 39.7
62.11 deg, rel. 19.1

Structure:
abc: 5.9777 5.9777 5.9777
angles: 60.00 60.00 60.00
Fractional coordinates of all 10 atoms:
Ba (0.2500, 0.2500, 0.2500)
Ba (0.7500, 0.7500, 0.7500)
Y (0.0000, 0.0000, 0.0000)
Ru (0.5000, 0.5000, 0.5000)
O (0.2651, 0.2651, 0.7349)
O (0.2651, 0.7349, 0.2651)
O (0.2651, 0.7349, 0.7349)
O (0.7349, 0.2651, 0.2651)
O (0.7349, 0.2651, 0.7349)
O (0.7349, 0.7349, 0.2651)

No. 3
For Ba3ZnRu2O9, a crystal structure in the Materials Project, relaxed with GGA-PBE gives the theoretical X-ray diffraction stick pattern in this record (a wavelength of 1.5418 Å).
Intensities are scaled so that the largest is 100.

Top 10 peaks for 2θ = 5–70°, in order of rising 2θ:
25.51 deg, rel. 20.2
30.39 deg, rel. 59.9
30.50 deg, rel. 100.0
35.79 deg, rel. 17.2
40.17 deg, rel. 17.2
43.60 deg, rel. 35.7
47.72 deg, rel. 11.8
54.17 deg, rel. 42.7
57.66 deg, rel. 17.1
63.48 deg, rel. 18.9

Structure:
abc: 5.8614 5.8614 14.4319
angles: 90.00 90.00 120.00
Fractional coordinates of all 30 atoms:
Ba (0.0000, 0.0000, 0.2500)
Ba (0.0000, 0.0000, 0.7500)
Ba (0.3333, 0.6667, 0.0900)
Ba (0.3333, 0.6667, 0.4100)
Ba (0.6667, 0.3333, 0.5900)
Ba (0.6667, 0.3333, 0.9100)
Zn (0.0000, 0.0000, 0.0000)
Zn (0.0000, 0.0000, 0.5000)
Ru (0.3333, 0.6667, 0.6541)
Ru (0.3333, 0.6667, 0.8459)
Ru (0.6667, 0.3333, 0.1541)
Ru (0.6667, 0.3333, 0.3459)
O (0.0317, 0.5159, 0.7500)
O (0.1710, 0.3421, 0.5843)
O (0.1710, 0.3421, 0.9157)
O (0.1710, 0.8290, 0.5843)
O (0.1710, 0.8290, 0.9157)
O (0.3421, 0.1710, 0.0843)
O (0.3421, 0.1710, 0.4157)
O (0.4841, 0.5159, 0.7500)
O (0.4841, 0.9683, 0.7500)
O (0.5159, 0.0317, 0.2500)
O (0.5159, 0.4841, 0.2500)
O (0.6579, 0.8290, 0.5843)
O (0.6579, 0.8290, 0.9157)
O (0.8290, 0.1710, 0.0843)
O (0.8290, 0.1710, 0.4157)
O (0.8290, 0.6579, 0.0843)
O (0.8290, 0.6579, 0.4157)
O (0.9683, 0.4841, 0.2500)

No. 4
For Ba4ZrRu3O12, a crystal structure in the Materials Project, relaxed with GGA-PBE gives the theoretical X-ray diffraction stick pattern in this record (a wavelength of 1.5418 Å).
Intensities are scaled so that the largest is 100.

Top 10 peaks for 2θ = 5–70°, in order of rising 2θ:
27.61 deg, rel. 56.5
30.09 deg, rel. 12.9
30.37 deg, rel. 100.0
35.39 deg, rel. 15.7
41.51 deg, rel. 33.9
47.02 deg, rel. 11.7
47.32 deg, rel. 12.0
52.30 deg, rel. 18.4
53.97 deg, rel. 19.8
63.19 deg, rel. 21.0

Structure:
abc: 10.3208 10.3208 10.3208
angles: 33.13 33.13 33.13
Fractional coordinates of all 20 atoms:
Ba (0.1285, 0.1285, 0.1285)
Ba (0.2866, 0.2866, 0.2866)
Ba (0.7134, 0.7134, 0.7134)
Ba (0.8715, 0.8715, 0.8715)
Zr (0.0000, 0.0000, 0.0000)
Ru (0.4126, 0.4126, 0.4126)
Ru (0.5000, 0.5000, 0.5000)
Ru (0.5874, 0.5874, 0.5874)
O (0.1455, 0.6119, 0.6119)
O (0.2110, 0.2110, 0.7010)
O (0.2110, 0.7010, 0.2110)
O (0.2990, 0.7890, 0.7890)
O (0.3881, 0.3881, 0.8545)
O (0.3881, 0.8545, 0.3881)
O (0.6119, 0.1455, 0.6119)
O (0.6119, 0.6119, 0.1455)
O (0.7010, 0.2110, 0.2110)
O (0.7890, 0.2990, 0.7890)
O (0.7890, 0.7890, 0.2990)
O (0.8545, 0.3881, 0.3881)

No. 5
For Ba3ZrRu2O9, a crystal structure in the Materials Project, relaxed with GGA-PBE gives the theoretical X-ray diffraction stick pattern in this record (a wavelength of 1.5418 Å).
Intensities are scaled so that the largest is 100.

Top 10 peaks for 2θ = 5–70°, in order of rising 2θ:
25.42 deg, rel. 26.1
30.28 deg, rel. 59.2
30.40 deg, rel. 100.0
35.65 deg, rel. 12.7
40.03 deg, rel. 19.9
43.44 deg, rel. 34.8
47.42 deg, rel. 12.5
53.98 deg, rel. 42.7
63.26 deg, rel. 18.9
66.32 deg, rel. 10.0

Structure:
abc: 5.8803 5.8803 14.4865
angles: 90.00 90.00 120.00
Fractional coordinates of all 30 atoms:
Ba (0.0000, 0.0000, 0.2500)
Ba (0.0000, 0.0000, 0.7500)
Ba (0.3333, 0.6667, 0.0920)
Ba (0.3333, 0.6667, 0.4080)
Ba (0.6667, 0.3333, 0.5920)
Ba (0.6667, 0.3333, 0.9080)
Zr (0.0000, 0.0000, 0.0000)
Zr (0.0000, 0.0000, 0.5000)
Ru (0.3333, 0.6667, 0.6632)
Ru (0.3333, 0.6667, 0.8368)
Ru (0.6667, 0.3333, 0.1632)
Ru (0.6667, 0.3333, 0.3368)
O (0.0216, 0.5108, 0.7500)
O (0.1704, 0.3407, 0.5832)
O (0.1704, 0.3407, 0.9168)
O (0.1704, 0.8296, 0.5832)
O (0.1704, 0.8296, 0.9168)
O (0.3407, 0.1704, 0.0832)
O (0.3407, 0.1704, 0.4168)
O (0.4892, 0.5108, 0.7500)
O (0.4892, 0.9784, 0.7500)
O (0.5108, 0.0216, 0.2500)
O (0.5108, 0.4892, 0.2500)
O (0.6593, 0.8296, 0.5832)
O (0.6593, 0.8296, 0.9168)
O (0.8296, 0.1704, 0.0832)
O (0.8296, 0.1704, 0.4168)
O (0.8296, 0.6593, 0.0832)
O (0.8296, 0.6593, 0.4168)
O (0.9784, 0.4892, 0.2500)